[1]
For NaNbP2Se8, DFT lattice parameters and positions (GGA-PBE) gives the simulated powder X-ray diffraction pattern in this record (λ = 1.5418 Å (Cu Kα)).

Top 6 peaks for 10 to 90 degrees two-theta, by angle:
- 18.71 deg, d = 4.744 Å, I 50, (0 1 1)
- 28.79 deg, d = 3.101 Å, I 33, (0 0 3)
- 29.66 deg, d = 3.012 Å, I 100, (1 1 1)
- 34.13 deg, d = 2.627 Å, I 98, (2 -1 2)
- 48.47 deg, d = 1.878 Å, I 41, (1 1 4)
- 49.60 deg, d = 1.838 Å, I 47, (3 0 0)

Cell and atoms:
```
data_NaNbP2Se8
_cell_length_a 6.3673
_cell_length_b 6.3673
_cell_length_c 9.3034
_cell_angle_alpha 90.00
_cell_angle_beta 90.00
_cell_angle_gamma 120.00
_space_group_name_H-M_alt 'P -3'
_space_group_IT_number 147
loop_
_space_group_symop_operation_xyz
'x,y,z'
'-x,-y,-z'
'-y,x-y,z'
'y,-x+y,-z'
'-x+y,-x,z'
'x-y,x,-z'
loop_
_atom_site_label
_atom_site_type_symbol
_atom_site_fract_x
_atom_site_fract_y
_atom_site_fract_z
Na1 Na 0.0000 0.0000 0.0000
Nb1 Nb 0.0000 0.0000 0.5000
P1 P 0.3333 0.6667 0.7292
Se1 Se 0.0162 0.6734 0.3424
Se2 Se 0.3333 0.6667 0.9595
```


[2]
For Na3PaNb2Se6, DFT lattice parameters and positions (GGA-PBE) gives the simulated powder X-ray diffraction pattern in this record (λ = 1.5418 Å (Cu Kα)).

Top 6 peaks for 10 to 90 degrees two-theta, by angle:
- 11.99 deg, d = 7.382 Å, I 96, (0 0 1)
- 31.63 deg, d = 2.828 Å, I 100, (1 3 1)
- 31.68 deg, d = 2.824 Å, I 50, (2 0 -2)
- 41.97 deg, d = 2.153 Å, I 22, (2 0 2)
- 43.06 deg, d = 2.101 Å, I 35, (1 3 -3)
- 47.62 deg, d = 1.910 Å, I 30, (3 3 -1)

Cell and atoms:
```
data_Na3PaNb2Se6
_cell_length_a 6.659
_cell_length_b 11.251
_cell_length_c 7.661
_cell_angle_alpha 90.00
_cell_angle_beta 105.52
_cell_angle_gamma 90.00
_space_group_name_H-M_alt 'C 1 2/m 1'
_space_group_IT_number 12
loop_
_space_group_symop_operation_xyz
'x,y,z'
'-x,-y,-z'
'-x,y,-z'
'x,-y,z'
'x+1/2,y+1/2,z'
'-x+1/2,-y+1/2,-z'
'-x+1/2,y+1/2,-z'
'x+1/2,-y+1/2,z'
loop_
_atom_site_label
_atom_site_type_symbol
_atom_site_fract_x
_atom_site_fract_y
_atom_site_fract_z
Na1 Na 0.000 0.000 0.000
Na2 Na 0.000 0.328 0.000
Pa1 Pa 0.000 0.500 0.500
Nb1 Nb 0.000 0.129 0.500
Se1 Se 0.245 0.322 0.713
Se2 Se 0.248 0.000 0.749
```